# 1
Computed powder XRD pattern
Compound: Ca4ZnCoSi4O14
Radiation: copper Kα
Structure: the PBE+U geometry in the Materials Project

Cell and atoms:
```
24
Lattice="7.908 0.000 0.000 0.000 7.908 0.000 0.000 0.000 5.063" Properties=species:S:1:pos:R:3 pbc="T T T"
Ca 1.337 5.295 2.514
Ca 2.614 1.337 2.549
Ca 5.295 6.571 2.549
Ca 6.571 2.614 2.514
Zn 3.954 3.954 0.000
Co 0.000 0.000 0.000
Si 1.113 2.842 4.728
Si 2.842 6.795 0.335
Si 5.067 1.113 0.335
Si 6.795 5.067 4.728
O 0.000 3.954 4.129
O 0.654 1.471 3.943
O 1.118 2.828 1.279
O 1.471 7.254 1.120
O 2.485 3.303 3.946
O 2.828 6.790 3.784
O 3.303 5.424 1.117
O 3.954 0.000 0.935
O 4.605 2.485 1.117
O 5.081 1.118 3.784
O 5.424 4.605 3.946
O 6.438 0.654 1.120
O 6.790 5.081 1.279
O 7.254 6.438 3.943
```

Most intense lines, 2θ from 10° to 90°, by angle:
- 23.7 deg, I 40
- 28.6 deg, I 62
- 30.8 deg, I 100
- 35.9 deg, I 39
- 51.4 deg, I 42
- 51.7 deg, I 16

***

# 2
Computed powder XRD pattern
Compound: CaSmCoO4
Radiation: copper Kα
Structure: the PBE+U geometry in the Materials Project

Cell and atoms:
```
14
Lattice="2.636 -6.009 0.000 2.636 6.009 0.000 0.000 0.000 5.475" Properties=species:S:1:pos:R:3 pbc="T T T"
Ca 2.636 4.735 2.737
Ca 2.636 -4.735 0.000
Sm 2.636 1.342 2.554
Sm 2.636 -1.342 5.291
Co 2.636 3.019 5.395
Co 2.636 -3.019 2.657
O 1.321 2.821 4.024
O 2.636 5.033 5.147
O 2.636 0.904 0.218
O 1.321 -2.821 1.286
O 3.952 2.821 4.024
O 2.636 -0.904 2.955
O 2.636 -5.033 2.410
O 3.952 -2.821 1.286
```

Most intense lines, 2θ from 10° to 90°, by angle:
- 18.4 deg, I 33
- 22.0 deg, I 41
- 32.5 deg, I 100
- 32.7 deg, I 38
- 34.0 deg, I 39
- 47.9 deg, I 39

***

# 3
Computed powder XRD pattern
Compound: CaSmCo4O12
Radiation: copper Kα
Structure: the PBE+U geometry in the Materials Project

Cell and atoms:
```
18
Lattice="5.281 0.000 0.000 0.000 5.281 0.000 0.000 0.000 7.492" Properties=species:S:1:pos:R:3 pbc="T T T"
Ca 0.000 0.000 0.000
Sm 2.640 2.640 3.746
Co 0.000 2.640 1.839
Co 0.000 2.640 5.652
Co 2.640 0.000 1.839
Co 2.640 0.000 5.652
O 0.000 2.640 0.000
O 0.000 2.640 3.746
O 1.351 1.351 1.923
O 1.351 1.351 5.568
O 1.351 3.929 1.923
O 1.351 3.929 5.568
O 2.640 0.000 0.000
O 2.640 0.000 3.746
O 3.929 1.351 1.923
O 3.929 1.351 5.568
O 3.929 3.929 1.923
O 3.929 3.929 5.568
```

Most intense lines, 2θ from 10° to 90°, by angle:
- 20.6 deg, I 63
- 33.9 deg, I 100
- 40.0 deg, I 33
- 48.8 deg, I 32
- 60.7 deg, I 25
- 71.3 deg, I 17